1.
Calculated X-ray diffraction stick pattern of PmFe12Ge6 for Cu Kα (λ = 1.5418 Å), from a PBE-relaxed structure.
Kinematic intensities with the Lorentz-polarization factor, no thermal factor.

Top 10 peaks for 2θ from 10° to 90°, in order of falling intensity:
- 36.68 deg, rel. 100, hkl 1 3 1
- 47.50 deg, rel. 67, hkl 0 2 4
- 36.19 deg, rel. 49, hkl 1 1 3
- 54.24 deg, rel. 41, hkl 5 0 2
- 41.27 deg, rel. 38, hkl 3 1 2
- 27.67 deg, rel. 37, hkl 2 1 1
- 33.62 deg, rel. 35, hkl 2 2 0
- 33.36 deg, rel. 33, hkl 1 2 2
- 43.66 deg, rel. 30, hkl 0 3 3
- 44.09 deg, rel. 30, hkl 3 2 1

Crystal structure
```
data_PmFe12Ge6
_space_group_name_H-M_alt 'R -3 m'
_space_group_IT_number 166
_space_group_name_Hall '-R 3 2"'
_cell_length_a 10.6629
_cell_length_b 10.6629
_cell_length_c 8.4144
_cell_angle_alpha 90.00
_cell_angle_beta 90.00
_cell_angle_gamma 120.00
loop_
_atom_site_label
_atom_site_fract_x
_atom_site_fract_y
_atom_site_fract_z
Pm1 0.0000 0.0000 0.0000
Fe1 0.0000 0.3857 0.5000
Fe2 0.0954 0.1908 0.3252
Ge1 0.0311 0.5156 0.2607
```


2.
Calculated X-ray diffraction stick pattern of PrFeGe2 for Cu Kα (λ = 1.5418 Å), from a PBE-relaxed structure.
Kinematic intensities with the Lorentz-polarization factor, no thermal factor.

Top 10 peaks for 2θ from 10° to 90°, in order of falling intensity:
- 33.08 deg, rel. 100, hkl 2 1 0
- 42.55 deg, rel. 85, hkl 0 2 0
- 36.04 deg, rel. 64, hkl 1 1 3
- 36.65 deg, rel. 42, hkl 2 0 3
- 34.96 deg, rel. 36, hkl 0 0 4
- 33.62 deg, rel. 35, hkl 0 1 3
- 47.00 deg, rel. 26, hkl 3 0 3
- 34.24 deg, rel. 25, hkl 2 1 1
- 57.38 deg, rel. 23, hkl 2 2 3
- 56.69 deg, rel. 22, hkl 4 1 0

Crystal structure
```
data_PrFeGe2
_space_group_name_H-M_alt 'P n m a'
_space_group_IT_number 62
_cell_length_a 7.0285
_cell_length_b 4.2499
_cell_length_c 10.2674
_cell_angle_alpha 90.00
_cell_angle_beta 90.00
_cell_angle_gamma 90.00
loop_
_space_group_symop_operation_xyz
'x,y,z'
'-x,-y,-z'
'-x+1/2,-y,z+1/2'
'x+1/2,y,-z+1/2'
'x+1/2,-y+1/2,-z+1/2'
'-x+1/2,y+1/2,z+1/2'
'-x,y+1/2,-z'
'x,-y+1/2,z'
loop_
_atom_site_label
_atom_site_fract_x
_atom_site_fract_y
_atom_site_fract_z
Pr1 0.1685 0.2500 0.1250
Fe1 0.0157 0.7500 0.3872
Ge1 0.1442 0.2500 0.8150
Ge2 0.1690 0.2500 0.4251
```


3.
Calculated X-ray diffraction stick pattern of Pr2FeGe4 for Cu Kα (λ = 1.5418 Å), from a PBE-relaxed structure.
Kinematic intensities with the Lorentz-polarization factor, no thermal factor.

Top 10 peaks for 2θ from 10° to 90°, in order of falling intensity:
- 33.84 deg, rel. 100, hkl 1 1 3
- 41.68 deg, rel. 22, hkl 0 2 0
- 42.43 deg, rel. 21, hkl 2 0 0
- 34.53 deg, rel. 21, hkl 0 1 5
- 39.47 deg, rel. 19, hkl 1 0 6
- 71.07 deg, rel. 17, hkl 1 3 3
- 33.13 deg, rel. 15, hkl 0 0 6
- 60.99 deg, rel. 14, hkl 2 2 0
- 58.75 deg, rel. 11, hkl 1 2 6
- 23.58 deg, rel. 11, hkl 1 0 2

Crystal structure
```
data_Pr2FeGe4
_space_group_name_H-M_alt 'A m m 2'
_space_group_IT_number 38
_cell_length_a 4.2611
_cell_length_b 4.3335
_cell_length_c 16.2257
_cell_angle_alpha 90.00
_cell_angle_beta 90.00
_cell_angle_gamma 90.00
loop_
_space_group_symop_operation_xyz
'x,y,z'
'-x,-y,z'
'-x,y,z'
'x,-y,z'
'x,y+1/2,z+1/2'
'-x,-y+1/2,z+1/2'
'-x,y+1/2,z+1/2'
'x,-y+1/2,z+1/2'
loop_
_atom_site_label
_atom_site_fract_x
_atom_site_fract_y
_atom_site_fract_z
Pr1 0.0000 0.0000 0.0000
Pr2 0.5000 0.0000 0.2069
Fe1 0.0000 0.0000 0.7991
Ge1 0.0000 0.0000 0.3579
Ge2 0.0000 0.0000 0.6532
Ge3 0.5000 0.0000 0.5503
Ge4 0.5000 0.0000 0.8566
```


4.
Calculated X-ray diffraction stick pattern of Fe2Ge2Pt for Cu Kα (λ = 1.5418 Å), from a PBE-relaxed structure.
Kinematic intensities with the Lorentz-polarization factor, no thermal factor.

Top 10 peaks for 2θ from 10° to 90°, in order of falling intensity:
- 41.09 deg, rel. 100, hkl 3 1 0
- 41.32 deg, rel. 79, hkl 2 0 1
- 43.42 deg, rel. 61, hkl 2 1 1
- 36.59 deg, rel. 41, hkl 2 2 0
- 18.06 deg, rel. 36, hkl 1 1 0
- 36.85 deg, rel. 35, hkl 1 1 1
- 52.90 deg, rel. 31, hkl 3 1 1
- 77.94 deg, rel. 28, hkl 5 1 1
- 81.27 deg, rel. 27, hkl 3 1 2
- 66.04 deg, rel. 20, hkl 3 3 1

Crystal structure
```
data_Fe2Ge2Pt
_space_group_name_H-M_alt 'P 4/m b m'
_space_group_IT_number 127
_space_group_name_Hall '-P 4 2ab'
_cell_length_a 6.9459
_cell_length_b 6.9459
_cell_length_c 2.8106
_cell_angle_alpha 90.00
_cell_angle_beta 90.00
_cell_angle_gamma 90.00
loop_
_atom_site_label
_atom_site_fract_x
_atom_site_fract_y
_atom_site_fract_z
Fe1 0.1227 0.3773 0.0000
Ge1 0.1747 0.6747 0.5000
Pt1 0.0000 0.0000 0.0000
```


5.
Calculated X-ray diffraction stick pattern of FeGePtW2 for Cu Kα (λ = 1.5418 Å), from a PBE-relaxed structure.
Kinematic intensities with the Lorentz-polarization factor, no thermal factor.

Top 10 peaks for 2θ from 10° to 90°, in order of falling intensity:
- 34.97 deg, rel. 100, hkl 1 1 1
- 39.24 deg, rel. 60, hkl 2 0 0
- 59.79 deg, rel. 35, hkl 2 0 2
- 73.91 deg, rel. 30, hkl 2 2 2
- 68.38 deg, rel. 29, hkl 3 1 1
- 28.86 deg, rel. 25, hkl 1 0 1
- 43.24 deg, rel. 23, hkl 0 0 2
- 56.69 deg, rel. 21, hkl 2 2 0
- 49.43 deg, rel. 12, hkl 2 1 1
- 21.23 deg, rel. 11, hkl 0 0 1

Crystal structure
```
data_FeGePtW2
_space_group_name_H-M_alt 'P 4/m m m'
_space_group_IT_number 123
_space_group_name_Hall '-P 4 2'
_cell_length_a 4.5923
_cell_length_b 4.5923
_cell_length_c 4.1851
_cell_angle_alpha 90.00
_cell_angle_beta 90.00
_cell_angle_gamma 90.00
loop_
_atom_site_label
_atom_site_fract_x
_atom_site_fract_y
_atom_site_fract_z
Fe1 0.0000 0.0000 0.0000
Ge1 0.0000 0.0000 0.5000
Pt1 0.5000 0.5000 0.0000
W1 0.0000 0.5000 0.5000
```


6.
Calculated X-ray diffraction stick pattern of Pu2Fe3Ge2 for Cu Kα (λ = 1.5418 Å), from a PBE-relaxed structure.
Kinematic intensities with the Lorentz-polarization factor, no thermal factor.

Top 10 peaks for 2θ from 10° to 90°, in order of falling intensity:
- 32.03 deg, rel. 100, hkl 2 2 0
- 39.50 deg, rel. 43, hkl 2 2 2
- 22.50 deg, rel. 35, hkl 2 0 0
- 45.93 deg, rel. 34, hkl 4 0 0
- 57.09 deg, rel. 33, hkl 4 2 2
- 51.73 deg, rel. 27, hkl 4 0 2
- 80.64 deg, rel. 21, hkl 6 2 2
- 66.98 deg, rel. 19, hkl 4 4 0
- 71.64 deg, rel. 17, hkl 6 0 0
- 42.81 deg, rel. 11, hkl 3 2 1

Crystal structure
```
data_Pu2Fe3Ge2
_space_group_name_H-M_alt 'I 21 3'
_space_group_IT_number 199
_space_group_name_Hall 'I 2b 2c 3'
_cell_length_a 7.9034
_cell_length_b 7.9034
_cell_length_c 7.9034
_cell_angle_alpha 90.00
_cell_angle_beta 90.00
_cell_angle_gamma 90.00
loop_
_atom_site_label
_atom_site_fract_x
_atom_site_fract_y
_atom_site_fract_z
Pu1 0.0023 0.0023 0.0023
Fe1 0.0000 0.2500 0.2245
Ge1 0.2047 0.2953 0.7047
```


Question: Number 5 is which compound?
Answer: FeGePtW2